The following is a computed X-ray diffraction stick pattern of Tl. It was derived from the PBE geometry in the Materials Project, using Cu Kα X-rays.
Neutral-atom scattering factors, no anomalous dispersion.

Cell and atoms:
```
Tl
1.0
-6.1270 6.1270 6.1270
6.1270 -6.1270 6.1270
6.1270 6.1270 -6.1270
Tl
29
Direct
0.0000 0.0000 0.0000
0.0000 0.0000 0.3634
0.0000 0.3171 0.5984
0.0000 0.3634 0.0000
0.0000 0.5984 0.3171
0.0000 0.6258 0.8090
0.0000 0.8090 0.6258
0.1833 0.3742 0.3742
0.1910 0.1910 0.8167
0.1910 0.8167 0.1910
0.2813 0.6829 0.6829
0.3171 0.0000 0.5984
0.3171 0.5984 0.0000
0.3634 0.0000 0.0000
0.3742 0.1833 0.3742
0.3742 0.3742 0.1833
0.4016 0.4016 0.7187
0.4016 0.7187 0.4016
0.5984 0.0000 0.3171
0.5984 0.3171 0.0000
0.6258 0.0000 0.8090
0.6258 0.8090 0.0000
0.6366 0.6366 0.6366
0.6829 0.2813 0.6829
0.6829 0.6829 0.2813
0.7187 0.4016 0.4016
0.8090 0.0000 0.6258
0.8090 0.6258 0.0000
0.8167 0.1910 0.1910
```

Peak list (10 most intense, 10° ≤ 2θ ≤ 90°, sorted by position)
2θ 29.15, intensity 7; 2θ 30.96, intensity 100; 2θ 34.32, intensity 29; 2θ 35.90, intensity 11; 2θ 37.42, intensity 16; 2θ 51.68, intensity 6; 2θ 52.83, intensity 11; 2θ 55.07, intensity 30; 2θ 64.53, intensity 10; 2θ 86.22, intensity 6

The following is a computed X-ray diffraction stick pattern of Tl. It was derived from the PBE geometry in the Materials Project, using Cu Kα X-rays.
Neutral-atom scattering factors, no anomalous dispersion.

Cell and atoms:
```
Tl
1.0
1.8259 1.0542 8.2363
-1.8259 1.0542 8.2363
0.0000 -2.1084 8.2363
Tl
3
Direct
0.0000 0.0000 0.0000
0.2206 0.2206 0.2206
0.7794 0.7794 0.7794
```

Peak list (10 most intense, 10° ≤ 2θ ≤ 90°, sorted by position)
2θ 28.45, intensity 40; 2θ 31.79, intensity 100; 2θ 32.62, intensity 45; 2θ 33.65, intensity 95; 2θ 49.95, intensity 42; 2θ 56.49, intensity 18; 2θ 60.03, intensity 20; 2θ 60.94, intensity 47; 2θ 61.58, intensity 17; 2θ 89.27, intensity 17

The following is a computed X-ray diffraction stick pattern of Tm3Tl. It was derived from the PBE geometry in the Materials Project, using Cu Kα X-rays.
Neutral-atom scattering factors, no anomalous dispersion.

Cell and atoms:
```
Tm3Tl
1.0
6.7929 0.0000 0.0000
-3.3964 5.8828 0.0000
0.0000 0.0000 5.5880
Tm Tl
6 2
Direct
0.1681 0.3362 0.2500
0.1681 0.8319 0.2500
0.3362 0.1681 0.7500
0.6638 0.8319 0.2500
0.8319 0.1681 0.7500
0.8319 0.6638 0.7500
0.3333 0.6667 0.7500
0.6667 0.3333 0.2500
```

Peak list (10 most intense, 10° ≤ 2θ ≤ 90°, sorted by position)
2θ 30.39, intensity 23; 2θ 32.03, intensity 27; 2θ 34.46, intensity 100; 2θ 44.74, intensity 16; 2θ 54.00, intensity 19; 2θ 58.67, intensity 22; 2θ 64.18, intensity 22; 2θ 65.64, intensity 16; 2θ 83.81, intensity 8; 2θ 89.99, intensity 14

The following is a computed X-ray diffraction stick pattern of Tm5Tl3. It was derived from the PBE geometry in the Materials Project, using Cu Kα X-rays.
Neutral-atom scattering factors, no anomalous dispersion.

Cell and atoms:
```
Tm5Tl3
1.0
8.8900 0.0000 0.0000
-4.4450 7.6990 0.0000
0.0000 0.0000 6.6087
Tm Tl
10 6
Direct
0.0000 0.2353 0.2500
0.0000 0.7647 0.7500
0.2353 0.0000 0.2500
0.2353 0.2353 0.7500
0.3333 0.6667 0.0000
0.3333 0.6667 0.5000
0.6667 0.3333 0.0000
0.6667 0.3333 0.5000
0.7647 0.0000 0.7500
0.7647 0.7647 0.2500
0.0000 0.4031 0.7500
0.0000 0.5969 0.2500
0.4031 0.0000 0.7500
0.4031 0.4031 0.2500
0.5969 0.0000 0.2500
0.5969 0.5969 0.7500
```

Peak list (10 most intense, 10° ≤ 2θ ≤ 90°, sorted by position)
2θ 26.98, intensity 22; 2θ 30.73, intensity 27; 2θ 33.65, intensity 100; 2θ 33.80, intensity 67; 2θ 34.96, intensity 29; 2θ 35.81, intensity 13; 2θ 44.59, intensity 16; 2θ 49.42, intensity 12; 2θ 52.07, intensity 30; 2θ 67.06, intensity 21

The following is a computed X-ray diffraction stick pattern of YTmTl2. It was derived from the PBE geometry in the Materials Project, using Cu Kα X-rays.
Neutral-atom scattering factors, no anomalous dispersion.

Cell and atoms:
```
YTmTl2
1.0
0.0000 3.7807 3.7807
3.7807 0.0000 3.7807
3.7807 3.7807 0.0000
Y Tm Tl
1 1 2
Direct
0.0000 0.0000 0.0000
0.5000 0.5000 0.5000
0.2500 0.2500 0.2500
0.7500 0.7500 0.7500
```

Peak list (10 most intense, 10° ≤ 2θ ≤ 90°, sorted by position)
2θ 20.34, intensity 3; 2θ 23.53, intensity 5; 2θ 33.52, intensity 100; 2θ 39.53, intensity 2; 2θ 48.14, intensity 18; 2θ 54.25, intensity 2; 2θ 59.93, intensity 38; 2θ 70.44, intensity 12; 2θ 80.30, intensity 17; 2θ 89.88, intensity 4

The following is a computed X-ray diffraction stick pattern of Tm2TlZn. It was derived from the PBE geometry in the Materials Project, using Cu Kα X-rays.
Neutral-atom scattering factors, no anomalous dispersion.

Cell and atoms:
```
Tm2TlZn
1.0
0.0000 3.6425 3.6425
3.6425 0.0000 3.6425
3.6425 3.6425 0.0000
Tm Tl Zn
2 1 1
Direct
0.2500 0.2500 0.2500
0.7500 0.7500 0.7500
0.0000 0.0000 0.0000
0.5000 0.5000 0.5000
```

Peak list (10 most intense, 10° ≤ 2θ ≤ 90°, sorted by position)
2θ 21.12, intensity 10; 2θ 34.83, intensity 100; 2θ 41.09, intensity 6; 2θ 50.09, intensity 18; 2θ 54.94, intensity 3; 2θ 62.45, intensity 37; 2θ 66.72, intensity 2; 2θ 73.54, intensity 11; 2θ 77.52, intensity 2; 2θ 84.02, intensity 16

The following is a computed X-ray diffraction stick pattern of UTl3. It was derived from the PBE geometry in the Materials Project, using Cu Kα X-rays.
Neutral-atom scattering factors, no anomalous dispersion.

Cell and atoms:
```
UTl3
1.0
4.7635 0.0000 0.0000
0.0000 4.7635 0.0000
0.0000 0.0000 4.7635
U Tl
1 3
Direct
0.0000 0.0000 0.0000
0.0000 0.5000 0.5000
0.5000 0.0000 0.5000
0.5000 0.5000 0.0000
```

Peak list (7 most intense, 10° ≤ 2θ ≤ 90°, sorted by position)
2θ 32.56, intensity 100; 2θ 37.77, intensity 51; 2θ 54.48, intensity 36; 2θ 64.93, intensity 43; 2θ 68.20, intensity 12; 2θ 80.69, intensity 6; 2θ 89.73, intensity 19

The following is a computed X-ray diffraction stick pattern of Tl3V. It was derived from the PBE geometry in the Materials Project, using Cu Kα X-rays.
Neutral-atom scattering factors, no anomalous dispersion.

Cell and atoms:
```
Tl3V
1.0
4.6551 0.0000 0.0000
0.0000 4.6551 0.0000
0.0000 0.0000 4.6551
Tl V
3 1
Direct
0.0000 0.0000 0.5000
0.0000 0.5000 0.0000
0.5000 0.0000 0.0000
0.5000 0.5000 0.5000
```

Peak list (10 most intense, 10° ≤ 2θ ≤ 90°, sorted by position)
2θ 19.06, intensity 15; 2θ 27.09, intensity 13; 2θ 33.34, intensity 100; 2θ 38.68, intensity 50; 2θ 43.47, intensity 8; 2θ 47.86, intensity 6; 2θ 55.86, intensity 35; 2θ 66.63, intensity 41; 2θ 70.01, intensity 12; 2θ 82.97, intensity 6